# 1
The following is a theoretical XRD peak list of Hf4Ni3Pd. It was derived from the GGA-PBE geometry in Alexandria, using a wavelength of 1.5418 Å.

```
data_Hf4Ni3Pd
_chemical_formula_sum 'Hf4 Ni3 Pd1'
_symmetry_space_group_name_H-M 'P m m 2'
_symmetry_Int_Tables_number 25
_cell_length_a 3.2744
_cell_length_b 4.1639
_cell_length_c 9.9549
_cell_angle_alpha 90.00
_cell_angle_beta 90.00
_cell_angle_gamma 90.00
loop_
_symmetry_equiv_pos_as_xyz
'x,y,z'
'-x,-y,z'
'-x,y,z'
'x,-y,z'
loop_
_atom_site_label
_atom_site_type_symbol
_atom_site_fract_x
_atom_site_fract_y
_atom_site_fract_z
Hf1 Hf 0.0000 0.0000 0.0000
Hf2 Hf 0.0000 0.5000 0.2699
Hf3 Hf 0.5000 0.0000 0.4814
Hf4 Hf 0.5000 0.5000 0.7772
Ni1 Ni 0.0000 0.5000 0.5386
Ni2 Ni 0.5000 0.0000 0.2139
Ni3 Ni 0.5000 0.5000 0.0491
Pd1 Pd 0.0000 0.0000 0.7151
```

Largest 10 diffraction maxima, low angle first, 5 to 70 degrees two-theta:
| 2theta | I_rel | index |
| --- | --- | --- |
| 27.94 | 26 | 0 1 2 |
| 36.05 | 100 | 0 0 4 |
| 38.63 | 24 | 1 0 3 |
| 42.31 | 14 | 0 1 4 |
| 43.47 | 23 | 0 2 0 |
| 44.55 | 33 | 1 1 3 |
| 56.18 | 11 | 2 0 0 |
| 57.73 | 13 | 0 2 4 |
| 58.62 | 11 | 1 1 5 |
| 59.54 | 14 | 1 2 3 |

# 2
The following is a theoretical XRD peak list of K2CaHg. It was derived from the GGA-PBE geometry in Alexandria, using a wavelength of 1.5418 Å.

```
data_K2CaHg
_chemical_formula_sum 'K2 Ca1 Hg1'
_symmetry_space_group_name_H-M 'P 1 m 1'
_symmetry_Int_Tables_number 6
_cell_length_a 4.1353
_cell_length_b 4.1319
_cell_length_c 10.7361
_cell_angle_alpha 90.00
_cell_angle_beta 90.37
_cell_angle_gamma 90.00
loop_
_symmetry_equiv_pos_as_xyz
'x,y,z'
'x,-y,z'
loop_
_atom_site_label
_atom_site_type_symbol
_atom_site_fract_x
_atom_site_fract_y
_atom_site_fract_z
K1 K 0.0000 0.0000 0.0000
K2 K 0.4932 0.5000 0.3557
Ca1 Ca 0.9971 0.0000 0.6500
Hg1 Hg 0.4990 0.5000 0.7738
```

Largest 10 diffraction maxima, low angle first, 5 to 70 degrees two-theta:
| 2theta | I_rel | index |
| --- | --- | --- |
| 8.24 | 100 | 0 0 1 |
| 16.51 | 19 | 0 0 2 |
| 21.50 | 15 | 1 0 0 |
| 23.04 | 13 | 1 0 -1 |
| 27.13 | 13 | 1 0 -2 |
| 27.26 | 39 | 1 0 2 |
| 30.59 | 28 | 1 1 0 |
| 31.73 | 19 | 1 1 -1 |
| 33.15 | 20 | 0 1 3 |
| 43.80 | 10 | 2 0 0 |

Copy entry 2 word for word.
The following is a theoretical XRD peak list of K2CaHg. It was derived from the GGA-PBE geometry in Alexandria, using a wavelength of 1.5418 Å.

```
data_K2CaHg
_chemical_formula_sum 'K2 Ca1 Hg1'
_symmetry_space_group_name_H-M 'P 1 m 1'
_symmetry_Int_Tables_number 6
_cell_length_a 4.1353
_cell_length_b 4.1319
_cell_length_c 10.7361
_cell_angle_alpha 90.00
_cell_angle_beta 90.37
_cell_angle_gamma 90.00
loop_
_symmetry_equiv_pos_as_xyz
'x,y,z'
'x,-y,z'
loop_
_atom_site_label
_atom_site_type_symbol
_atom_site_fract_x
_atom_site_fract_y
_atom_site_fract_z
K1 K 0.0000 0.0000 0.0000
K2 K 0.4932 0.5000 0.3557
Ca1 Ca 0.9971 0.0000 0.6500
Hg1 Hg 0.4990 0.5000 0.7738
```

Largest 10 diffraction maxima, low angle first, 5 to 70 degrees two-theta:
| 2theta | I_rel | index |
| --- | --- | --- |
| 8.24 | 100 | 0 0 1 |
| 16.51 | 19 | 0 0 2 |
| 21.50 | 15 | 1 0 0 |
| 23.04 | 13 | 1 0 -1 |
| 27.13 | 13 | 1 0 -2 |
| 27.26 | 39 | 1 0 2 |
| 30.59 | 28 | 1 1 0 |
| 31.73 | 19 | 1 1 -1 |
| 33.15 | 20 | 0 1 3 |
| 43.80 | 10 | 2 0 0 |